# 1
Theoretical X-ray powder pattern
Compound: Sm8SeS6
Radiation: λ = 1.5418 Å (Cu Kα)
Structure: DFT lattice parameters and positions (PBE)

The 12 most intense peaks (2θ from 5° to 70°), most intense first:
- 2θ 30.0, 2.975 Å, rel. 100.0
- 2θ 27.8, 3.208 Å, rel. 87.5
- 2θ 41.4, 2.181 Å, rel. 44.0
- 2θ 29.6, 3.019 Å, rel. 42.2
- 2θ 34.4, 2.605 Å, rel. 37.7
- 2θ 54.4, 1.687 Å, rel. 35.8
- 2θ 49.8, 1.832 Å, rel. 30.7
- 2θ 44.2, 2.049 Å, rel. 20.2
- 2θ 52.0, 1.759 Å, rel. 19.8
- 2θ 36.3, 2.475 Å, rel. 15.8
- 2θ 53.3, 1.717 Å, rel. 12.6
- 2θ 56.2, 1.636 Å, rel. 11.8

Structural model:
```
Sm8SeS6
1.0
10.3040 0.0000 0.0000
-5.1520 8.9235 0.0000
0.0000 0.0000 4.0993
Sm Se S
8 1 6
direct
0.0351 0.3354 0.2411 Sm
0.3002 0.9649 0.2411 Sm
0.3333 0.6667 0.7534 Sm
0.3354 0.3002 0.7589 Sm
0.6646 0.6998 0.2411 Sm
0.6667 0.3333 0.2466 Sm
0.6998 0.0351 0.7589 Sm
0.9649 0.6646 0.7589 Sm
0.0000 0.0000 0.0000 Se
0.1340 0.6522 0.2544 S
0.3478 0.4818 0.2544 S
0.4818 0.1340 0.7456 S
0.5182 0.8660 0.2544 S
0.6522 0.5182 0.7456 S
0.8660 0.3478 0.7456 S
```

# 2
Theoretical X-ray powder pattern
Compound: Cu5AgCl8
Radiation: λ = 1.5418 Å (Cu Kα)
Structure: DFT lattice parameters and positions (PBE)

The 12 most intense peaks (2θ from 5° to 70°), most intense first:
- 2θ 28.3, 3.148 Å, rel. 100.0
- 2θ 49.4, 1.846 Å, rel. 76.3
- 2θ 45.1, 2.009 Å, rel. 47.6
- 2θ 24.1, 3.691 Å, rel. 38.8
- 2θ 34.4, 2.610 Å, rel. 30.4
- 2θ 69.1, 1.359 Å, rel. 18.9
- 2θ 42.4, 2.131 Å, rel. 15.5
- 2θ 57.9, 1.592 Å, rel. 12.9
- 2θ 67.1, 1.395 Å, rel. 8.7
- 2θ 55.7, 1.651 Å, rel. 5.9
- 2θ 14.7, 6.028 Å, rel. 5.7
- 2θ 61.5, 1.507 Å, rel. 5.5

Structural model:
```
Cu5AgCl8
1.0
0.0000 5.2205 5.2205
5.2205 0.0000 5.2205
5.2205 5.2205 0.0000
Cu Ag Cl
5 1 8
direct
0.0000 0.0000 0.0000 Cu
0.1239 0.6254 0.6254 Cu
0.6254 0.1239 0.6254 Cu
0.6254 0.6254 0.1239 Cu
0.6254 0.6254 0.6254 Cu
0.2500 0.2500 0.2500 Ag
0.3885 0.3885 0.3885 Cl
0.3885 0.3885 0.8345 Cl
0.3885 0.8345 0.3885 Cl
0.3932 0.8689 0.8689 Cl
0.8345 0.3885 0.3885 Cl
0.8689 0.3932 0.8689 Cl
0.8689 0.8689 0.3932 Cl
0.8689 0.8689 0.8689 Cl
```